Starting from a PBE-relaxed structure, the powder diffractogram of K2O was computed for Cu Kα, 1.54184 Å.
No peak broadening, texture or thermal motion is included.

Top 10 peaks for 2θ = 10–80°, low angle first:
- hkl 1 0 1, d 4.856, 18.3°, rel. 1000
- hkl 1 0 3, d 3.388, 26.3°, rel. 517
- hkl 1 1 2, d 3.228, 27.6°, rel. 867
- hkl 2 0 0, d 2.606, 34.4°, rel. 957
- hkl 1 0 5, d 2.380, 37.8°, rel. 713
- hkl 2 1 1, d 2.296, 39.2°, rel. 233
- hkl 2 1 3, d 2.066, 43.8°, rel. 235
- hkl 2 2 0, d 1.843, 49.5°, rel. 293
- hkl 2 1 5, d 1.757, 52.0°, rel. 491
- hkl 3 1 2, d 1.600, 57.6°, rel. 190

Structural model:
```
data_K2O
_cell_length_a 5.2120
_cell_length_b 5.2120
_cell_length_c 13.3728
_cell_angle_alpha 90.00
_cell_angle_beta 90.00
_cell_angle_gamma 90.00
_symmetry_space_group_name_H-M 'I 41/a m d'
_symmetry_Int_Tables_number 141
loop_
_symmetry_equiv_pos_as_xyz
'x,y,z'
'-x,-y,-z'
'-y+1/4,x+3/4,z+1/4'
'y+1/4,-x+3/4,-z+1/4'
'-x+1/2,-y,z+1/2'
'x+1/2,y,-z+1/2'
'y+1/4,-x+1/4,z+3/4'
'-y+1/4,x+1/4,-z+3/4'
'x,-y,-z'
'-x,y,z'
'-y+1/4,-x+1/4,-z+3/4'
'y+1/4,x+1/4,z+3/4'
'-x+1/2,y,-z+1/2'
'x+1/2,-y,z+1/2'
'y+1/4,x+3/4,-z+1/4'
'-y+1/4,-x+3/4,z+1/4'
'x+1/2,y+1/2,z+1/2'
'-x+1/2,-y+1/2,-z+1/2'
'-y+3/4,x+1/4,z+3/4'
'y+3/4,-x+1/4,-z+3/4'
'-x,-y+1/2,z'
'x,y+1/2,-z'
'y+3/4,-x+3/4,z+1/4'
'-y+3/4,x+3/4,-z+1/4'
'x+1/2,-y+1/2,-z+1/2'
'-x+1/2,y+1/2,z+1/2'
'-y+3/4,-x+3/4,-z+1/4'
'y+3/4,x+3/4,z+1/4'
'-x,y+1/2,-z'
'x,-y+1/2,z'
'y+3/4,x+1/4,-z+3/4'
'-y+3/4,-x+1/4,z+3/4'
loop_
_atom_site_label
_atom_site_type_symbol
_atom_site_fract_x
_atom_site_fract_y
_atom_site_fract_z
K1 K 0.0000 0.2500 0.0743
O1 O 0.0000 0.2500 0.8750
```

***

Starting from a PBE-relaxed structure, the powder diffractogram of K4O was computed for Cu Kα, 1.54184 Å.
No peak broadening, texture or thermal motion is included.

Top 10 peaks for 2θ = 10–80°, low angle first:
- hkl 0 2 1, d 5.667, 15.6°, rel. 176
- hkl 1 1 1, d 4.731, 18.8°, rel. 289
- hkl 1 3 1, d 3.914, 22.7°, rel. 104
- hkl 0 0 2, d 3.464, 25.7°, rel. 127
- hkl 2 0 0, d 3.427, 26.0°, rel. 248
- hkl 1 5 1, d 3.066, 29.1°, rel. 1000
- hkl 1 1 2, d 3.054, 29.2°, rel. 297
- hkl 2 0 2, d 2.436, 36.9°, rel. 247
- hkl 2 2 2, d 2.365, 38.0°, rel. 111
- hkl 3 5 1, d 1.901, 47.9°, rel. 137

Structural model:
```
data_K4O
_cell_length_a 6.8564
_cell_length_b 19.7093
_cell_length_c 6.9275
_cell_angle_alpha 90.00
_cell_angle_beta 90.00
_cell_angle_gamma 90.00
_symmetry_space_group_name_H-M 'C 2 2 21'
_symmetry_Int_Tables_number 20
loop_
_symmetry_equiv_pos_as_xyz
'x,y,z'
'-x,-y,z+1/2'
'x,-y,-z'
'-x,y,-z+1/2'
'x+1/2,y+1/2,z'
'-x+1/2,-y+1/2,z+1/2'
'x+1/2,-y+1/2,-z'
'-x+1/2,y+1/2,-z+1/2'
loop_
_atom_site_label
_atom_site_type_symbol
_atom_site_fract_x
_atom_site_fract_y
_atom_site_fract_z
K1 K 0.1926 0.0999 0.0874
K2 K 0.2257 0.2911 0.0443
O1 O 0.0000 0.1992 0.2500
```